This entry pairs a crystal structure of Ac6SmSe8 with its calculated X-ray powder pattern. Radiation: Cu Kα (weighted mean of Kα1 and Kα2). Structure: a crystal structure in Alexandria, relaxed with PBE.

Structural model:
abc: 8.8743 8.8743 8.8743
angles: 60.00 60.00 60.00
Fractional coordinates of all 15 atoms:
Ac (0.0000, 0.0000, 0.5000)
Ac (0.0000, 0.5000, 0.0000)
Ac (0.0000, 0.5000, 0.5000)
Ac (0.5000, 0.0000, 0.0000)
Ac (0.5000, 0.0000, 0.5000)
Ac (0.5000, 0.5000, 0.0000)
Sm (0.0000, 0.0000, 0.0000)
Se (0.2399, 0.2399, 0.7601)
Se (0.2399, 0.7601, 0.2399)
Se (0.2399, 0.7601, 0.7601)
Se (0.2500, 0.2500, 0.2500)
Se (0.7500, 0.7500, 0.7500)
Se (0.7601, 0.2399, 0.2399)
Se (0.7601, 0.2399, 0.7601)
Se (0.7601, 0.7601, 0.2399)

Most intense lines, 2θ = 5–70°, sorted by position:
- 2θ = 14.11°, I 9
- 2θ = 20.01°, I 9
- 2θ = 24.57°, I 29
- 2θ = 28.45°, I 100
- 2θ = 40.67°, I 77
- 2θ = 48.09°, I 16
- 2θ = 50.37°, I 28
- 2θ = 58.87°, I 13
- 2θ = 64.76°, I 7
- 2θ = 66.65°, I 36